Diffraction record for Te4PdRu. The powder diffractogram is calculated, not measured: it uses a GGA-PBE-relaxed structure and CuKα.
Intensities are scaled so that the largest is 100.

Atomic structure:
```
data_Te4PdRu
_cell_length_a 6.585
_cell_length_b 6.608
_cell_length_c 6.573
_cell_angle_alpha 90.00
_cell_angle_beta 90.77
_cell_angle_gamma 90.00
_space_group_name_H-M_alt 'P 1 21/c 1'
_space_group_IT_number 14
_space_group_name_Hall '-P 2ybc'
loop_
_atom_site_label
_atom_site_fract_x
_atom_site_fract_y
_atom_site_fract_z
Te1 0.118 0.133 0.135
Te2 0.364 0.625 0.120
Pd1 0.500 0.000 0.000
Ru1 0.000 0.000 0.500
```

Main lines, sorted by position (10 to 80 degrees two-theta):
h k l, two_theta, Rel. int.
2 0 0, 27.04, 29
0 2 1, 30.27, 100
2 1 0, 30.33, 72
1 0 2, 30.57, 42
2 1 -1, 33.18, 89
1 2 1, 33.34, 32
1 1 2, 33.49, 41
1 1 -3, 45.54, 85
3 1 1, 45.90, 53
2 3 -1, 51.71, 28

Diffraction record for Tm5Ga2S2. The powder diffractogram is calculated, not measured: it uses a GGA-PBE-relaxed structure and CuKα.
Intensities are scaled so that the largest is 100.

Atomic structure:
```
data_Tm5Ga2S2
_cell_length_a 14.280
_cell_length_b 7.380
_cell_length_c 7.450
_cell_angle_alpha 90.00
_cell_angle_beta 90.00
_cell_angle_gamma 90.00
_space_group_name_H-M_alt 'C m c e'
_space_group_IT_number 64
_space_group_name_Hall '-C 2ac 2'
loop_
_atom_site_label
_atom_site_fract_x
_atom_site_fract_y
_atom_site_fract_z
Tm1 0.000 0.000 0.000
Tm2 0.144 0.171 0.341
Ga1 0.000 0.126 0.624
S1 0.195 0.000 0.000
```

Main lines, sorted by position (10 to 80 degrees two-theta):
h k l, two_theta, Rel. int.
0 2 1, 26.97, 40
1 1 2, 27.54, 23
3 1 2, 32.86, 100
4 0 2, 34.81, 22
4 2 0, 34.97, 31
4 2 1, 37.06, 57
6 0 0, 37.80, 30
1 1 3, 38.78, 38
1 3 1, 39.07, 43
3 3 3, 56.06, 28